Diffraction record for Tb3Tm3CuTc2. The powder diffractogram is simulated, not measured: it uses a GGA-PBE-relaxed structure and Cu Ka.

The 10 most intense peaks (2θ = 15–90°), in order of rising 2θ:
Position (°2θ)  intensity  index
32.37  100  1 1 1
34.15  51  2 1 0
34.92  63  2 0 1
38.89  35  3 0 0
47.17  14  3 1 0
47.62  18  0 0 2
53.25  16  3 1 1
59.89  21  2 1 2
63.10  16  3 0 2
63.22  29  3 2 1

Crystal structure
Lattice parameters (Å, degrees): 8.0218 8.0218 3.8194 90.00 90.00 120.00
Space group P-62m (No. 189)
Unique sites:
Tb 0.0000 0.2655 0.0000 (multiplicity 3)
Tm 0.0000 0.5936 0.5000 (multiplicity 3)
Cu 0.0000 0.0000 0.5000 (multiplicity 1)
Tc 0.3333 0.6667 0.0000 (multiplicity 2)